For BaCo4O8, a structure optimized by DFT (GGA+U) gives the theoretical powder XRD pattern in this record (λ = 1.5418 Å (Cu Kα)).
Intensities are scaled so that the largest is 100.

Structure:
```
BaCo4O8
1.0
5.550 0.000 0.000
-2.775 4.806 0.000
0.000 0.000 8.053
Ba Co O
1 4 8
Direct
0.000 0.000 0.000
0.333 0.667 0.230
0.333 0.667 0.770
0.667 0.333 0.230
0.667 0.333 0.770
0.000 0.354 0.273
0.000 0.646 0.727
0.333 0.667 0.000
0.354 0.000 0.273
0.354 0.354 0.727
0.646 0.000 0.727
0.646 0.646 0.273
0.667 0.333 0.000
```

Most intense lines, 10° ≤ 2θ ≤ 80°, sorted by position:
h k l, d_spacing, I_rel
0 0 1, 8.053, 93
1 0 1, 4.127, 34
1 0 2, 3.087, 100
1 1 0, 2.775, 85
2 -1 1, 2.624, 53
1 0 3, 2.344, 20
2 0 2, 2.064, 26
3 -1 2, 1.656, 29
2 -1 4, 1.630, 29
3 0 0, 1.602, 27